Theoretical X-ray diffraction stick pattern of PmAgSO for a wavelength of 1.5418 Å, from a structure optimized by DFT (GGA-PBE).
Intensities are scaled so that the largest is 100.

Structural model:
```
PmAgSO
1.0
5.617 0.000 0.000
0.000 5.617 0.000
0.000 0.000 9.196
Pm Ag S O
4 4 4 4
Direct
0.000 0.000 0.000
0.000 0.500 0.258
0.500 0.000 0.258
0.500 0.500 0.000
0.188 0.312 0.620
0.312 0.812 0.620
0.688 0.188 0.620
0.812 0.688 0.620
0.000 0.000 0.433
0.000 0.500 0.841
0.500 0.000 0.841
0.500 0.500 0.433
0.249 0.251 0.132
0.251 0.751 0.132
0.749 0.249 0.132
0.751 0.749 0.132
```

The 10 most intense peaks (2θ = 5–70°), low angle first:
index, 2theta, d (Å), Rel. int.
0 0 2, 19.30, 4.598, 24
1 1 1, 24.41, 3.646, 35
0 0 3, 29.13, 3.065, 32
1 1 2, 29.72, 3.006, 100
2 0 1, 33.36, 2.686, 66
1 1 3, 37.07, 2.425, 51
2 0 2, 37.53, 2.397, 34
2 2 0, 45.68, 1.986, 39
2 0 4, 51.37, 1.779, 42
3 1 2, 55.46, 1.657, 38